CaGe3Ir3: theoretical powder diffractogram (λ = 1.5418 Å (Cu Kα)), based on the PBE geometry in Alexandria.

Principal peaks in the range 10° ≤ 2θ ≤ 90°, in order of rising 2θ:
| Position (°2θ) | I_rel |
| --- | --- |
| 18.48 | 100 |
| 26.25 | 42 |
| 29.41 | 68 |
| 32.29 | 99 |
| 42.08 | 26 |
| 46.31 | 74 |
| 48.32 | 18 |
| 50.27 | 57 |
| 54.01 | 43 |
| 79.91 | 27 |

Crystal structure
a b c (Å): 6.791 6.791 6.791
angles (deg): 90.00 90.00 90.00
Fractional positions:
Ca1 0.000 0.000 0.000
Ca2 0.500 0.500 0.500
Ge1 0.000 0.250 0.500
Ge2 0.000 0.750 0.500
Ge3 0.250 0.500 0.000
Ge4 0.500 0.000 0.250
Ge5 0.500 0.000 0.750
Ge6 0.750 0.500 0.000
Ir1 0.000 0.500 0.250
Ir2 0.000 0.500 0.750
Ir3 0.250 0.000 0.500
Ir4 0.500 0.250 0.000
Ir5 0.500 0.750 0.000
Ir6 0.750 0.000 0.500


CsKNa10: theoretical powder diffractogram (λ = 1.5418 Å (Cu Kα)), based on the PBE geometry in Alexandria.

Principal peaks in the range 10° ≤ 2θ ≤ 90°, in order of rising 2θ:
| Position (°2θ) | I_rel |
| --- | --- |
| 20.34 | 33 |
| 20.50 | 71 |
| 23.88 | 37 |
| 27.48 | 20 |
| 27.96 | 37 |
| 28.33 | 100 |
| 28.67 | 49 |
| 30.30 | 36 |
| 41.70 | 28 |
| 45.31 | 26 |

Crystal structure
a b c (Å): 5.900 7.330 12.982
angles (deg): 90.00 90.00 90.00
Fractional positions:
Cs1 0.000 0.000 0.000
K1 0.000 0.500 0.500
Na1 0.000 0.000 0.341
Na2 0.000 0.000 0.659
Na3 0.000 0.500 0.176
Na4 0.000 0.500 0.824
Na5 0.500 0.000 0.500
Na6 0.500 0.252 0.256
Na7 0.500 0.252 0.744
Na8 0.500 0.500 0.000
Na9 0.500 0.748 0.256
Na10 0.500 0.748 0.744


TmSc4S4: theoretical powder diffractogram (λ = 1.5418 Å (Cu Kα)), based on the PBE geometry in Alexandria.

Principal peaks in the range 10° ≤ 2θ ≤ 90°, in order of rising 2θ:
| Position (°2θ) | I_rel |
| --- | --- |
| 11.35 | 43 |
| 14.85 | 26 |
| 26.21 | 14 |
| 29.64 | 28 |
| 29.98 | 11 |
| 32.70 | 9 |
| 34.46 | 100 |
| 49.30 | 32 |
| 49.75 | 30 |
| 61.53 | 18 |

Crystal structure
a b c (Å): 6.386 6.386 8.941
angles (deg): 117.94 117.94 33.68
Fractional positions:
Tm1 0.000 0.000 0.000
Sc1 0.208 0.208 0.801
Sc2 0.400 0.400 0.602
Sc3 0.600 0.600 0.398
Sc4 0.792 0.792 0.199
S1 0.202 0.202 0.309
S2 0.397 0.397 0.108
S3 0.603 0.603 0.892
S4 0.798 0.798 0.691